Entry 1:
YTm3Te: calculated powder diffraction line list (Cu Kα (weighted mean of Kα1 and Kα2)), based on the PBE geometry in Alexandria.

Main lines, sorted by position (2θ from 10° to 80°):
30.00°, I = 100; 30.41°, I = 79; 30.72°, I = 75; 32.40°, I = 61; 32.68°, I = 64; 33.03°, I = 21; 33.21°, I = 69; 34.43°, I = 57; 34.55°, I = 71; 35.95°, I = 45; 36.83°, I = 24; 45.24°, I = 27

Atomic structure:
Lattice parameters (Å, degrees): 8.1841 8.7945 9.7848 90.00 122.66 90.00
Positions (direct):
Y: 0.1778 0.0650 0.4465
Y: 0.1778 0.4350 0.9465
Y: 0.8222 0.5650 0.0535
Y: 0.8222 0.9350 0.5535
Tm: 0.0972 0.6749 0.5280
Tm: 0.0972 0.8251 0.0280
Tm: 0.2638 0.0595 0.8401
Tm: 0.2638 0.4405 0.3401
Tm: 0.4090 0.1217 0.2308
Tm: 0.4090 0.3783 0.7308
Tm: 0.5910 0.6217 0.2692
Tm: 0.5910 0.8783 0.7692
Tm: 0.7362 0.5595 0.6599
Tm: 0.7362 0.9405 0.1599
Tm: 0.9028 0.1749 0.9720
Tm: 0.9028 0.3251 0.4720
Te: 0.3836 0.7104 0.9048
Te: 0.3836 0.7896 0.4048
Te: 0.6164 0.2104 0.5952
Te: 0.6164 0.2896 0.0952



Entry 2:
Ca3Zn4Pt4: calculated powder diffraction line list (Cu Kα (weighted mean of Kα1 and Kα2)), based on the PBE geometry in Alexandria.

Main lines, sorted by position (2θ from 10° to 80°):
16.22°, I = 47; 23.01°, I = 55; 28.28°, I = 67; 32.77°, I = 74; 36.77°, I = 58; 43.83°, I = 64; 50.07°, I = 100; 55.79°, I = 24; 61.14°, I = 19; 71.13°, I = 18; 73.52°, I = 14; 75.88°, I = 41

Atomic structure:
Lattice parameters (Å, degrees): 6.6935 6.6935 6.6935 109.47 109.47 109.47
Positions (direct):
Ca: 0.0000 0.5000 0.5000
Ca: 0.5000 0.0000 0.5000
Ca: 0.5000 0.5000 0.0000
Zn: 0.0000 0.0000 0.2488
Zn: 0.0000 0.2488 0.0000
Zn: 0.2488 0.0000 0.0000
Zn: 0.7512 0.7512 0.7512
Pt: 0.0000 0.0000 0.6130
Pt: 0.0000 0.6130 0.0000
Pt: 0.3870 0.3870 0.3870
Pt: 0.6130 0.0000 0.0000



Entry 3:
CoP5: calculated powder diffraction line list (Cu Kα (weighted mean of Kα1 and Kα2)), based on the PBE geometry in Alexandria.

Main lines, sorted by position (2θ from 10° to 80°):
14.80°, I = 33; 25.16°, I = 43; 34.51°, I = 100; 41.13°, I = 39; 45.47°, I = 9; 46.27°, I = 8; 50.98°, I = 37; 53.50°, I = 17; 54.74°, I = 48; 60.01°, I = 7; 65.96°, I = 12; 69.64°, I = 15

Atomic structure:
Lattice parameters (Å, degrees): 4.3890 6.2252 6.2252 31.94 90.00 90.00
Positions (direct):
Co: 0.0000 0.0000 0.0000
P: 0.0000 0.3803 0.3803
P: 0.0000 0.6218 0.6218
P: 0.5000 0.0247 0.0247
P: 0.5000 0.3093 0.3093
P: 0.5000 0.6813 0.6813



Entry 4:
TiMnPOsS: calculated powder diffraction line list (Cu Kα (weighted mean of Kα1 and Kα2)), based on the PBE geometry in Alexandria.

Main lines, sorted by position (2θ from 10° to 80°):
12.46°, I = 100; 25.08°, I = 16; 29.03°, I = 18; 29.94°, I = 77; 33.37°, I = 41; 35.75°, I = 63; 41.52°, I = 69; 50.87°, I = 47; 52.04°, I = 16; 52.59°, I = 18; 65.23°, I = 15; 67.68°, I = 16

Atomic structure:
Lattice parameters (Å, degrees): 7.3976 7.3976 7.3976 28.08 28.08 28.08
Positions (direct):
Ti: 0.0000 0.0000 0.0000
Mn: 0.1410 0.1410 0.1410
P: 0.2637 0.2637 0.2637
Os: 0.5596 0.5596 0.5596
S: 0.7371 0.7371 0.7371



Entry 5:
Pr5ErCd3: calculated powder diffraction line list (Cu Kα (weighted mean of Kα1 and Kα2)), based on the PBE geometry in Alexandria.

Main lines, sorted by position (2θ from 10° to 80°):
25.22°, I = 4; 31.55°, I = 100; 32.60°, I = 98; 41.66°, I = 7; 46.00°, I = 35; 51.78°, I = 9; 57.51°, I = 36; 58.16°, I = 18; 62.54°, I = 29; 64.39°, I = 2; 68.28°, I = 11; 77.16°, I = 15

Atomic structure:
Lattice parameters (Å, degrees): 9.5164 9.5164 7.0616 90.00 90.00 120.00
Positions (direct):
Pr: 0.0000 0.3343 0.2500
Pr: 0.0000 0.6657 0.7500
Pr: 0.3333 0.6667 0.0000
Pr: 0.3333 0.6667 0.5000
Pr: 0.3343 0.0000 0.2500
Pr: 0.3343 0.3343 0.7500
Pr: 0.6657 0.0000 0.7500
Pr: 0.6657 0.6657 0.2500
Pr: 0.6667 0.3333 0.0000
Pr: 0.6667 0.3333 0.5000
Er: 0.0000 0.0000 0.0000
Er: 0.0000 0.0000 0.5000
Cd: 0.0000 0.3267 0.7500
Cd: 0.0000 0.6733 0.2500
Cd: 0.3267 0.0000 0.7500
Cd: 0.3267 0.3267 0.2500
Cd: 0.6733 0.0000 0.2500
Cd: 0.6733 0.6733 0.7500



Entry 6:
Tb12Er7Tm: calculated powder diffraction line list (Cu Kα (weighted mean of Kα1 and Kα2)), based on the PBE geometry in Alexandria.

Main lines, sorted by position (2θ from 10° to 80°):
27.36°, I = 19; 29.96°, I = 59; 30.82°, I = 42; 32.08°, I = 100; 39.47°, I = 16; 39.59°, I = 19; 42.19°, I = 10; 42.52°, I = 18; 47.85°, I = 12; 51.80°, I = 17; 55.88°, I = 15; 59.60°, I = 14

Atomic structure:
Lattice parameters (Å, degrees): 8.6421 8.6421 8.6421 94.84 94.84 94.84
Positions (direct):
Tb: 0.0213 0.3524 0.0842
Tb: 0.0842 0.0213 0.3524
Tb: 0.1874 0.3157 0.7496
Tb: 0.2504 0.8126 0.6843
Tb: 0.3157 0.7496 0.1874
Tb: 0.3524 0.0842 0.0213
Tb: 0.6476 0.9158 0.9787
Tb: 0.6843 0.2504 0.8126
Tb: 0.7496 0.1874 0.3157
Tb: 0.8126 0.6843 0.2504
Tb: 0.9158 0.9787 0.6476
Tb: 0.9787 0.6476 0.9158
Er: 0.0000 0.0000 0.0000
Er: 0.1488 0.4782 0.4162
Er: 0.4162 0.1488 0.4782
Er: 0.4782 0.4162 0.1488
Er: 0.5218 0.5838 0.8512
Er: 0.5838 0.8512 0.5218
Er: 0.8512 0.5218 0.5838
Tm: 0.5000 0.5000 0.5000



Entry 7:
MnTl2Fe: calculated powder diffraction line list (Cu Kα (weighted mean of Kα1 and Kα2)), based on the PBE geometry in Alexandria.

Main lines, sorted by position (2θ from 10° to 80°):
19.45°, I = 76; 31.76°, I = 23; 32.00°, I = 23; 33.84°, I = 66; 37.51°, I = 100; 37.72°, I = 99; 39.33°, I = 27; 39.49°, I = 44; 52.96°, I = 37; 62.83°, I = 22; 63.26°, I = 22; 70.29°, I = 31

Atomic structure:
Lattice parameters (Å, degrees): 3.1351 4.5641 5.6080 90.00 94.16 90.00
Positions (direct):
Mn: 0.0000 0.0000 0.0000
Tl: 0.2607 0.5000 0.7469
Tl: 0.7393 0.5000 0.2531
Fe: 0.5000 0.0000 0.5000



Entry 8:
MgTcRh: calculated powder diffraction line list (Cu Kα (weighted mean of Kα1 and Kα2)), based on the PBE geometry in Alexandria.

Main lines, sorted by position (2θ from 10° to 80°):
15.69°, I = 53; 32.06°, I = 14; 39.38°, I = 100; 44.11°, I = 19; 44.83°, I = 18; 48.35°, I = 11; 51.40°, I = 16; 64.71°, I = 12; 67.51°, I = 8; 68.05°, I = 8; 77.94°, I = 13; 78.97°, I = 12

Atomic structure:
Lattice parameters (Å, degrees): 5.9980 5.9980 4.1063 90.00 90.00 140.60
Positions (direct):
Mg: 0.0000 0.0000 0.0000
Mg: 0.5000 0.5000 0.5000
Tc: 0.1861 0.8139 0.5000
Tc: 0.8139 0.1861 0.5000
Rh: 0.3285 0.6715 0.0000
Rh: 0.6715 0.3285 0.0000



Entry 9:
TlCdSnBi: calculated powder diffraction line list (Cu Kα (weighted mean of Kα1 and Kα2)), based on the PBE geometry in Alexandria.

Main lines, sorted by position (2θ from 10° to 80°):
26.87°, I = 11; 29.54°, I = 5; 31.93°, I = 100; 35.61°, I = 40; 39.74°, I = 12; 46.92°, I = 6; 51.25°, I = 14; 54.41°, I = 19; 56.94°, I = 6; 61.66°, I = 31; 66.74°, I = 10; 67.25°, I = 8

Atomic structure:
Lattice parameters (Å, degrees): 3.5652 3.5652 9.0729 90.02 90.02 89.96
Positions (direct):
Tl: 0.0000 0.0000 0.0000
Cd: 0.9988 0.9988 0.5194
Sn: 0.4990 0.4990 0.7306
Bi: 0.4998 0.4998 0.2800



Entry 10:
Sm3Ga4Au2: calculated powder diffraction line list (Cu Kα (weighted mean of Kα1 and Kα2)), based on the PBE geometry in Alexandria.

Main lines, sorted by position (2θ from 10° to 80°):
12.93°, I = 42; 28.32°, I = 36; 32.87°, I = 100; 34.99°, I = 14; 36.47°, I = 46; 39.50°, I = 19; 39.92°, I = 24; 40.12°, I = 49; 45.43°, I = 24; 57.63°, I = 17; 62.19°, I = 27; 70.80°, I = 15

Atomic structure:
Lattice parameters (Å, degrees): 8.1143 8.1143 8.1143 151.51 122.97 64.97
Positions (direct):
Sm: 0.0000 0.0000 0.0000
Sm: 0.3705 0.8705 0.5000
Sm: 0.6295 0.1295 0.5000
Ga: 0.0002 0.3175 0.6826
Ga: 0.9998 0.6825 0.3174
Ga: 0.3651 0.6825 0.6826
Ga: 0.6349 0.3175 0.3174
Au: 0.3017 0.5000 0.8017
Au: 0.6983 0.5000 0.1983



Entry 11:
NaRe2F: calculated powder diffraction line list (Cu Kα (weighted mean of Kα1 and Kα2)), based on the PBE geometry in Alexandria.

Main lines, sorted by position (2θ from 10° to 80°):
19.73°, I = 100; 21.32°, I = 66; 24.90°, I = 61; 33.00°, I = 30; 40.08°, I = 69; 42.60°, I = 15; 43.42°, I = 17; 43.66°, I = 28; 46.43°, I = 22; 51.08°, I = 34; 51.62°, I = 16; 60.27°, I = 26

Atomic structure:
Lattice parameters (Å, degrees): 8.9670 8.9670 8.9670 149.80 149.80 43.24
Positions (direct):
Na: 0.3750 0.6250 0.7500
Na: 0.6250 0.3750 0.2500
Re: 0.0000 0.0000 0.0000
Re: 0.0000 0.0000 0.5000
Re: 0.0000 0.5000 0.0000
Re: 0.5000 0.0000 0.5000
F: 0.1250 0.8750 0.2500
F: 0.8750 0.1250 0.7500



Entry 12:
Ag5Br2Cl2: calculated powder diffraction line list (Cu Kα (weighted mean of Kα1 and Kα2)), based on the PBE geometry in Alexandria.

Main lines, sorted by position (2θ from 10° to 80°):
18.47°, I = 29; 22.88°, I = 73; 24.71°, I = 22; 27.03°, I = 20; 28.21°, I = 47; 35.46°, I = 31; 40.02°, I = 100; 40.61°, I = 35; 42.42°, I = 54; 47.60°, I = 21; 59.73°, I = 19; 74.34°, I = 22

Atomic structure:
Lattice parameters (Å, degrees): 14.6457 14.6457 14.6457 17.70 17.70 17.70
Positions (direct):
Ag: 0.0000 0.0000 0.0000
Ag: 0.1174 0.1174 0.1174
Ag: 0.2487 0.2487 0.2487
Ag: 0.4155 0.4155 0.4155
Ag: 0.8740 0.8740 0.8740
Br: 0.1811 0.1811 0.1811
Br: 0.3511 0.3511 0.3511
Cl: 0.7626 0.7626 0.7626
Cl: 0.9381 0.9381 0.9381